# Cd7Pt3
Computed powder X-ray diffraction pattern, a wavelength of 1.5418 Å. Input: the GGA-PBE geometry in OQMD.
Peak positions follow from Bragg's law for the DFT cell and can differ from measured ones.

Crystal structure
```
Cd7Pt3
1.0
7.8105 0.0000 0.0000
0.0000 19.9058 0.0000
0.0000 0.0000 5.2064
Cd Pt
28 12
Cartesian
0.1915 2.2375 0.4198
0.1915 7.7155 0.4198
1.2577 0.3694 3.4153
1.2577 9.5835 3.4153
1.3020 14.9294 2.9872
1.4064 3.4769 2.9143
1.4064 6.4760 2.9143
2.4988 13.4298 0.3111
2.4988 16.4290 0.3111
2.6033 4.9765 0.3840
2.6476 10.3224 0.8121
2.6476 19.5364 0.8121
3.7138 12.1904 3.0230
3.7138 17.6684 3.0230
4.0967 2.2375 2.1834
4.0967 7.7155 2.1834
5.1629 0.3694 4.3943
5.1629 9.5835 4.3943
5.2072 14.9294 4.8224
5.3117 3.4769 4.8954
5.3117 6.4760 4.8954
6.4041 13.4298 2.2922
6.4041 16.4290 2.2922
6.5086 4.9765 2.2192
6.5529 10.3224 1.7911
6.5529 19.5364 1.7911
7.6191 12.1904 4.7866
7.6191 17.6684 4.7866
0.1340 14.9294 0.3643
0.9869 12.0444 2.2594
0.9869 17.8144 2.2594
2.9184 2.0915 4.8626
2.9184 7.8614 4.8626
3.7713 4.9765 2.9675
4.0392 14.9294 2.2389
4.8921 12.0444 0.3439
4.8921 17.8144 0.3439
6.8237 2.0915 2.9471
6.8237 7.8614 2.9471
7.6766 4.9765 4.8421
```

Top 10 peaks for 2θ from 10° to 90°, most intense first:
2theta  I_rel
38.7  100
37.8  76
38.9  66
39.2  55
33.9  29
34.5  27
36.1  24
35.5  23
24.5  22
43.1  22

***

# Cd5Pt
Computed powder X-ray diffraction pattern, a wavelength of 1.5418 Å. Input: the GGA-PBE geometry in OQMD.
Peak positions follow from Bragg's law for the DFT cell and can differ from measured ones.

Crystal structure
```
Cd5Pt
1.0
9.9606 0.0000 0.0000
0.0000 9.9606 0.0000
0.0000 0.0000 9.9606
Cd Pt
40 8
Cartesian
0.0000 0.0000 2.3766
0.0000 0.0000 7.5841
0.0000 2.3766 0.0000
0.0000 7.5841 0.0000
0.4957 2.9606 2.9606
0.4957 7.0000 7.0000
1.4164 4.9803 4.9803
1.6863 1.6863 5.2836
1.6863 4.6770 8.2743
1.6863 5.2836 1.6863
1.6863 8.2743 4.6770
2.3766 0.0000 0.0000
2.9606 0.4957 2.9606
2.9606 2.9606 0.4957
2.9606 7.0000 9.4649
2.9606 9.4649 7.0000
3.7933 3.7933 6.1674
3.7933 6.1674 3.7933
4.6770 1.6863 8.2743
4.6770 8.2743 1.6863
4.9803 1.4164 4.9803
4.9803 4.9803 1.4164
4.9803 4.9803 8.5443
4.9803 8.5443 4.9803
5.2836 1.6863 1.6863
5.2836 8.2743 8.2743
6.1674 3.7933 3.7933
6.1674 6.1674 6.1674
7.0000 0.4957 7.0000
7.0000 2.9606 9.4649
7.0000 7.0000 0.4957
7.0000 9.4649 2.9606
7.5841 0.0000 0.0000
8.2743 1.6863 4.6770
8.2743 4.6770 1.6863
8.2743 5.2836 8.2743
8.2743 8.2743 5.2836
8.5443 4.9803 4.9803
9.4649 2.9606 7.0000
9.4649 7.0000 2.9606
1.9343 1.9343 8.0263
1.9343 8.0263 1.9343
3.3254 3.3254 3.3254
3.3254 6.6352 6.6352
6.6352 3.3254 6.6352
6.6352 6.6352 3.3254
8.0263 1.9343 1.9343
8.0263 8.0263 8.0263
```

Top 10 peaks for 2θ from 10° to 90°, most intense first:
2theta  I_rel
38.3  100
37.2  22
69.3  14
21.9  12
55.3  11
77.9  10
17.8  6
33.7  6
39.4  6
42.6  6

***

# SmCd20Pt2
Computed powder X-ray diffraction pattern, a wavelength of 1.5418 Å. Input: the GGA-PBE geometry in OQMD.
Peak positions follow from Bragg's law for the DFT cell and can differ from measured ones.

Crystal structure
```
SmCd20Pt2
1.0
0.0000 7.8572 7.8572
7.8572 0.0000 7.8572
7.8572 7.8572 0.0000
Sm Cd Pt
2 40 4
Cartesian
1.9643 1.9643 1.9643
13.7501 13.7501 13.7501
0.0000 0.0000 0.0000
3.9286 3.9286 0.0000
3.9286 0.0000 3.9286
5.0586 2.9750 2.9750
8.8107 6.7272 2.9750
8.8107 2.9750 6.7272
10.6557 6.9036 6.9036
12.7393 8.9872 6.9036
12.7393 6.9036 8.9872
5.8929 5.8929 3.7225
5.8929 3.7225 5.8929
8.0633 5.8929 5.8929
2.9750 5.0586 2.9750
6.7272 8.8107 2.9750
2.9750 2.9750 5.0586
8.8107 8.8107 5.0586
6.7272 2.9750 8.8107
8.8107 5.0586 8.8107
9.8215 9.8215 7.6510
9.8215 7.6510 9.8215
11.9919 9.8215 9.8215
0.0000 3.9286 3.9286
3.7225 5.8929 5.8929
5.8929 8.0633 5.8929
5.8929 5.8929 8.0633
6.9036 10.6557 6.9036
8.9872 12.7393 6.9036
6.9036 6.9036 10.6557
12.7393 12.7393 10.6557
8.9872 6.9036 12.7393
12.7393 10.6557 12.7393
7.6510 9.8215 9.8215
9.8215 11.9919 9.8215
9.8215 9.8215 11.9919
2.9750 8.8107 6.7272
2.9750 6.7272 8.8107
5.0586 8.8107 8.8107
6.9036 12.7393 8.9872
6.9036 8.9872 12.7393
10.6557 12.7393 12.7393
7.8572 3.9286 3.9286
3.9286 7.8572 3.9286
3.9286 3.9286 7.8572
7.8572 7.8572 7.8572
```

Top 10 peaks for 2θ from 10° to 90°, most intense first:
2theta  I_rel
38.0  100
37.5  80
33.7  59
67.4  50
41.0  37
36.2  36
39.7  30
61.3  28
70.7  21
32.2  19

***

# Cd3Sn2Pt2
Computed powder X-ray diffraction pattern, a wavelength of 1.5418 Å. Input: the GGA-PBE geometry in OQMD.
Peak positions follow from Bragg's law for the DFT cell and can differ from measured ones.

Crystal structure
```
Cd3Sn2Pt2
1.0
4.6208 0.0000 0.0000
-2.3104 4.0017 0.0000
0.0000 0.0000 16.4808
Cd Sn Pt
6 4 4
Cartesian
0.0000 0.0000 2.7087
0.0000 0.0000 5.5317
0.0000 0.0000 10.9491
0.0000 0.0000 13.7721
0.0000 2.6678 4.1202
2.3104 1.3339 12.3606
0.0000 2.6678 9.3238
0.0000 2.6678 15.3974
2.3104 1.3339 1.0834
2.3104 1.3339 7.1570
0.0000 0.0000 0.0000
0.0000 0.0000 8.2404
0.0000 2.6678 12.3606
2.3104 1.3339 4.1202
```

Top 10 peaks for 2θ from 10° to 90°, most intense first:
2theta  I_rel
39.0  100
39.8  90
71.2  32
56.9  31
21.6  20
22.9  19
35.3  18
45.0  18
70.6  17
24.7  16

***

- Which formula does entry 1 have?
  Cd7Pt3

***

- Number 3 is which compound?
  SmCd20Pt2